Structure and calculated XRD peak list of La2Rh7 (a cell relaxed with PBE; Cu Ka).

Structural model:
Cell: 5.337 5.337 26.590 Å, 90.00 90.00 120.00°
Element x y z (fractional)
La 0.333 0.667 0.029
La 0.333 0.667 0.175
La 0.333 0.667 0.325
La 0.333 0.667 0.471
La 0.667 0.333 0.529
La 0.667 0.333 0.675
La 0.667 0.333 0.825
La 0.667 0.333 0.971
Rh 0.000 0.000 0.000
Rh 0.000 0.000 0.167
Rh 0.000 0.000 0.333
Rh 0.000 0.000 0.500
Rh 0.000 0.000 0.667
Rh 0.000 0.000 0.833
Rh 0.167 0.333 0.750
Rh 0.167 0.334 0.586
Rh 0.167 0.334 0.914
Rh 0.167 0.833 0.586
Rh 0.167 0.833 0.750
Rh 0.167 0.833 0.914
Rh 0.333 0.167 0.250
Rh 0.333 0.667 0.667
Rh 0.333 0.667 0.833
Rh 0.334 0.167 0.086
Rh 0.334 0.167 0.414
Rh 0.666 0.833 0.586
Rh 0.666 0.833 0.914
Rh 0.667 0.333 0.167
Rh 0.667 0.333 0.333
Rh 0.667 0.833 0.750
Rh 0.833 0.167 0.086
Rh 0.833 0.167 0.250
Rh 0.833 0.167 0.414
Rh 0.833 0.666 0.086
Rh 0.833 0.666 0.414
Rh 0.833 0.667 0.250

Peak list (12 most intense, 5 to 70 degrees two-theta, low angle first)
Position (°2θ)  d [Å]  intensity  (hkl)
30.46  2.935  337  1 0 7
33.58  2.669  297  1 1 0
38.97  2.311  99  2 0 0
39.12  2.302  297  2 0 1
39.42  2.286  1000  1 1 6
40.72  2.216  236  0 0 12
42.19  2.142  93  1 0 11
42.66  2.120  253  2 0 5
44.20  2.049  116  2 0 6
58.12  1.587  107  2 1 7
60.44  1.532  141  2 0 13
63.98  1.455  235  3 0 6